The following is a computed powder XRD pattern of UCd2Ni2O6. It was derived from a crystal structure in Alexandria, relaxed with PBE+U, using Cu Kα (weighted mean of Kα1 and Kα2).

The 10 most intense peaks (2θ from 15° to 90°), in order of falling intensity:
2θ 18.71, d 4.744, rel. 100; 2θ 40.53, d 2.226, rel. 90; 2θ 34.02, d 2.635, rel. 78; 2θ 25.34, d 3.515, rel. 76; 2θ 34.48, d 2.601, rel. 71; 2θ 32.30, d 2.772, rel. 48; 2θ 32.70, d 2.738, rel. 46; 2θ 53.99, d 1.698, rel. 43; 2θ 54.51, d 1.683, rel. 35; 2θ 67.59, d 1.386, rel. 31

Structure:
a b c (Å): 5.526 5.526 6.096
angles (deg): 104.19 104.19 112.12
Atoms (fractional coordinates):
U: 0.000 0.000 0.000
Cd: 0.180 0.820 0.500
Cd: 0.820 0.180 0.500
Ni: 0.339 0.661 0.000
Ni: 0.661 0.339 0.000
O: 0.019 0.372 0.240
O: 0.248 0.248 0.822
O: 0.372 0.019 0.240
O: 0.628 0.981 0.760
O: 0.752 0.752 0.178
O: 0.981 0.628 0.760